Record 1
This entry pairs a crystal structure of LaPr4Zn2 with its calculated XRD peak list. Radiation: a wavelength of 1.5418 Å. Structure: a DFT-relaxed cell (GGA-PBE, Alexandria).

Largest 12 diffraction maxima, low angle first, 5 to 70 degrees two-theta:
| 2θ (°) | d [Å] | I_rel | index |
| --- | --- | --- | --- |
| 23.26 | 3.825 | 166 | 2 1 1 |
| 26.64 | 3.346 | 170 | 2 0 2 |
| 29.48 | 3.030 | 646 | 1 0 3 |
| 30.26 | 2.954 | 1000 | 3 0 1 |
| 35.33 | 2.540 | 132 | 2 1 3 |
| 35.73 | 2.513 | 593 | 3 1 2 |
| 35.97 | 2.497 | 503 | 3 2 1 |
| 46.79 | 1.942 | 175 | 2 2 4 |
| 47.55 | 1.912 | 135 | 4 2 2 |
| 48.90 | 1.862 | 146 | 3 1 4 |
| 49.82 | 1.830 | 165 | 4 3 1 |
| 62.86 | 1.478 | 139 | 6 0 2 |

Atomic structure:
abc: 9.323 9.323 9.611
angles: 90.00 90.00 90.00
Space group I-42d (No. 122)
Symmetry-distinct sites (fractional):
La1 0.000 0.000 0.000 (multiplicity 4)
Pr1 0.079 0.166 0.323 (multiplicity 16)
Zn1 0.157 0.250 0.625 (multiplicity 8)

Record 2
This entry pairs a crystal structure of Zn3Ni7 with its calculated XRD peak list. Radiation: a wavelength of 1.5418 Å. Structure: a DFT-relaxed cell (GGA-PBE, Alexandria).

Largest 4 diffraction maxima, low angle first, 5 to 70 degrees two-theta:
| 2θ (°) | d [Å] | I_rel | index |
| --- | --- | --- | --- |
| 43.63 | 2.074 | 1000 | 1 1 -2 |
| 43.76 | 2.069 | 991 | 5 1 0 |
| 50.14 | 1.819 | 649 | 0 2 0 |
| 52.39 | 1.746 | 283 | 4 0 2 |

Atomic structure:
abc: 12.942 3.636 5.056
angles: 90.00 103.63 90.00
Space group C2/m (No. 12)
Symmetry-distinct sites (fractional):
Zn1 0.000 0.000 0.000 (multiplicity 2)
Zn2 0.197 0.000 0.606 (multiplicity 4)
Ni1 0.000 0.000 0.500 (multiplicity 2)
Ni2 0.100 0.500 0.300 (multiplicity 4)
Ni3 0.100 0.500 0.804 (multiplicity 4)
Ni4 0.201 0.000 0.101 (multiplicity 4)